Entry 1:
This entry pairs a crystal structure of CeSmCo with its calculated XRD peak list. Radiation: Cu Kα. Structure: a crystal structure in Alexandria, relaxed with GGA-PBE.
No peak broadening, texture or thermal motion is included.

Structure:
```
CeSmCo
1.0
6.048 0.000 0.000
0.000 7.326 0.000
-2.710 0.000 6.650
Ce Sm Co
4 4 4
direct
0.219 0.141 0.446 Ce
0.219 0.359 0.946 Ce
0.781 0.641 0.054 Ce
0.781 0.859 0.554 Ce
0.282 0.653 0.581 Sm
0.282 0.847 0.081 Sm
0.718 0.153 0.919 Sm
0.718 0.347 0.419 Sm
0.140 0.090 0.751 Co
0.140 0.410 0.251 Co
0.860 0.590 0.749 Co
0.860 0.910 0.249 Co
```

Top 10 peaks for 10° ≤ 2θ ≤ 90°, in order of falling intensity:
| d [Å] | two_theta | I/Imax |
| --- | --- | --- |
| 3.031 | 29.47 | 100 |
| 2.588 | 34.66 | 53 |
| 2.800 | 31.96 | 40 |
| 2.703 | 33.15 | 26 |
| 2.275 | 39.62 | 19 |
| 2.535 | 35.41 | 14 |
| 1.709 | 53.62 | 12 |
| 1.759 | 51.99 | 12 |
| 1.617 | 56.95 | 12 |
| 1.831 | 49.79 | 12 |


Entry 2:
This entry pairs a crystal structure of CeSm2YCo2 with its calculated XRD peak list. Radiation: Cu Kα. Structure: a crystal structure in Alexandria, relaxed with GGA-PBE.
No peak broadening, texture or thermal motion is included.

Structure:
```
CeSm2YCo2
1.0
-3.432 6.408 3.352
3.432 -6.408 3.352
3.432 6.408 -3.352
Ce Sm Y Co
2 4 2 4
direct
0.250 0.250 0.000 Ce
0.750 0.750 0.000 Ce
0.201 0.202 0.403 Sm
0.299 0.702 0.001 Sm
0.701 0.298 0.999 Sm
0.799 0.798 0.597 Sm
0.250 0.750 0.500 Y
0.750 0.250 0.500 Y
0.094 0.789 0.883 Co
0.406 0.289 0.696 Co
0.594 0.711 0.304 Co
0.906 0.211 0.117 Co
```

Top 10 peaks for 10° ≤ 2θ ≤ 90°, in order of falling intensity:
| d [Å] | two_theta | I/Imax |
| --- | --- | --- |
| 2.970 | 30.09 | 100 |
| 2.398 | 37.51 | 91 |
| 2.664 | 33.64 | 87 |
| 3.025 | 29.53 | 74 |
| 1.951 | 46.55 | 29 |
| 1.771 | 51.62 | 26 |
| 6.050 | 14.64 | 26 |
| 1.676 | 54.77 | 18 |
| 3.204 | 27.85 | 17 |
| 1.466 | 63.45 | 17 |


Entry 3:
This entry pairs a crystal structure of CeCo4Sn12 with its calculated XRD peak list. Radiation: Cu Kα. Structure: a crystal structure in Alexandria, relaxed with GGA-PBE.
No peak broadening, texture or thermal motion is included.

Structure:
```
CeCo4Sn12
1.0
-4.609 4.609 4.609
4.609 -4.609 4.609
4.609 4.609 -4.609
Ce Co Sn
1 4 12
direct
0.000 0.000 0.000 Ce
0.000 0.000 0.500 Co
0.000 0.500 0.000 Co
0.500 0.000 0.000 Co
0.500 0.500 0.500 Co
0.161 0.331 0.830 Sn
0.170 0.501 0.331 Sn
0.170 0.839 0.669 Sn
0.331 0.170 0.501 Sn
0.331 0.830 0.161 Sn
0.499 0.669 0.830 Sn
0.501 0.331 0.170 Sn
0.669 0.170 0.839 Sn
0.669 0.830 0.499 Sn
0.830 0.161 0.331 Sn
0.830 0.499 0.669 Sn
0.839 0.669 0.170 Sn
```

Top 10 peaks for 10° ≤ 2θ ≤ 90°, in order of falling intensity:
| d [Å] | two_theta | I/Imax |
| --- | --- | --- |
| 2.915 | 30.67 | 100 |
| 2.464 | 36.47 | 55 |
| 1.882 | 48.37 | 24 |
| 1.581 | 58.37 | 22 |
| 1.359 | 69.11 | 21 |
| 1.808 | 50.48 | 19 |
| 1.495 | 62.06 | 14 |
| 1.102 | 88.80 | 13 |
| 2.061 | 43.92 | 12 |
| 1.536 | 60.23 | 12 |


Entry 4:
This entry pairs a crystal structure of Ce5Co2Sn2 with its calculated XRD peak list. Radiation: Cu Kα. Structure: a crystal structure in Alexandria, relaxed with GGA-PBE.
No peak broadening, texture or thermal motion is included.

Structure:
```
Ce5Co2Sn2
1.0
-3.355 10.957 3.398
3.355 -10.957 3.398
3.355 10.957 -3.398
Ce Co Sn
10 4 4
direct
0.143 0.001 0.141 Ce
0.200 0.450 0.750 Ce
0.249 0.000 0.749 Ce
0.249 0.500 0.249 Ce
0.360 0.001 0.359 Ce
0.640 0.999 0.641 Ce
0.751 0.000 0.251 Ce
0.751 0.500 0.751 Ce
0.800 0.550 0.250 Ce
0.857 0.999 0.859 Ce
0.000 0.000 0.000 Co
0.206 0.956 0.250 Co
0.500 0.000 0.500 Co
0.794 0.044 0.750 Co
0.107 0.501 0.606 Sn
0.396 0.501 0.894 Sn
0.604 0.499 0.106 Sn
0.893 0.499 0.394 Sn
```

Top 10 peaks for 10° ≤ 2θ ≤ 90°, in order of falling intensity:
| d [Å] | two_theta | I/Imax |
| --- | --- | --- |
| 2.388 | 37.67 | 100 |
| 2.901 | 30.82 | 67 |
| 1.800 | 50.72 | 56 |
| 2.739 | 32.69 | 53 |
| 2.888 | 30.97 | 43 |
| 3.208 | 27.81 | 37 |
| 2.861 | 31.26 | 37 |
| 3.246 | 27.48 | 32 |
| 3.355 | 26.57 | 31 |
| 3.398 | 26.22 | 27 |


Entry 5:
This entry pairs a crystal structure of Ce5CoSn4 with its calculated XRD peak list. Radiation: Cu Kα. Structure: a crystal structure in Alexandria, relaxed with GGA-PBE.
No peak broadening, texture or thermal motion is included.

Structure:
```
Ce5CoSn4
1.0
-4.822 4.822 3.075
4.822 -4.822 3.075
4.822 4.822 -3.075
Ce Co Sn
5 1 4
direct
0.000 0.000 0.000 Ce
0.264 0.616 0.880 Ce
0.384 0.264 0.648 Ce
0.616 0.736 0.352 Ce
0.736 0.384 0.120 Ce
0.500 0.500 0.000 Co
0.060 0.340 0.400 Sn
0.340 0.940 0.281 Sn
0.660 0.060 0.719 Sn
0.940 0.660 0.600 Sn
```

Top 10 peaks for 10° ≤ 2θ ≤ 90°, in order of falling intensity:
| d [Å] | two_theta | I/Imax |
| --- | --- | --- |
| 3.050 | 29.28 | 100 |
| 3.075 | 29.04 | 93 |
| 2.849 | 31.40 | 84 |
| 2.165 | 41.71 | 77 |
| 2.453 | 36.64 | 73 |
| 1.536 | 60.26 | 47 |
| 1.627 | 56.56 | 21 |
| 1.463 | 63.60 | 21 |
| 1.728 | 52.98 | 20 |
| 1.766 | 51.78 | 19 |


Entry 6:
This entry pairs a crystal structure of Ce2CoSn2 with its calculated XRD peak list. Radiation: Cu Kα. Structure: a crystal structure in Alexandria, relaxed with GGA-PBE.
No peak broadening, texture or thermal motion is included.

Structure:
```
Ce2CoSn2
1.0
4.220 0.000 0.000
1.717 5.811 0.000
1.012 -0.132 10.428
Ce Co Sn
4 2 4
direct
0.060 0.233 0.140 Ce
0.114 0.718 0.383 Ce
0.886 0.282 0.617 Ce
0.940 0.767 0.860 Ce
0.181 0.173 0.780 Co
0.819 0.827 0.220 Co
0.413 0.688 0.094 Sn
0.496 0.175 0.378 Sn
0.504 0.825 0.622 Sn
0.587 0.312 0.906 Sn
```

Top 10 peaks for 10° ≤ 2θ ≤ 90°, in order of falling intensity:
| d [Å] | two_theta | I/Imax |
| --- | --- | --- |
| 2.986 | 29.92 | 100 |
| 2.905 | 30.77 | 81 |
| 2.483 | 36.18 | 67 |
| 3.236 | 27.57 | 53 |
| 2.607 | 34.40 | 53 |
| 1.954 | 46.48 | 39 |
| 2.767 | 32.36 | 38 |
| 2.651 | 33.81 | 34 |
| 2.217 | 40.69 | 33 |
| 2.093 | 43.22 | 30 |


Entry 7:
This entry pairs a crystal structure of Ce4CoSn8 with its calculated XRD peak list. Radiation: Cu Kα. Structure: a crystal structure in Alexandria, relaxed with GGA-PBE.
No peak broadening, texture or thermal motion is included.

Structure:
```
Ce4CoSn8
1.0
4.466 0.000 0.000
0.000 4.536 0.000
0.000 0.000 16.820
Ce Co Sn
4 1 8
direct
0.000 0.000 0.000 Ce
0.000 0.500 0.493 Ce
0.500 0.000 0.197 Ce
0.500 0.500 0.704 Ce
0.500 0.000 0.405 Co
0.000 0.000 0.335 Sn
0.000 0.000 0.670 Sn
0.000 0.500 0.160 Sn
0.000 0.500 0.853 Sn
0.500 0.000 0.552 Sn
0.500 0.000 0.851 Sn
0.500 0.500 0.034 Sn
0.500 0.500 0.336 Sn
```

Top 10 peaks for 10° ≤ 2θ ≤ 90°, in order of falling intensity:
| d [Å] | two_theta | I/Imax |
| --- | --- | --- |
| 2.768 | 32.35 | 100 |
| 2.268 | 39.74 | 18 |
| 2.233 | 40.40 | 18 |
| 2.803 | 31.92 | 17 |
| 1.388 | 67.50 | 12 |
| 1.591 | 57.96 | 12 |
| 1.371 | 68.41 | 12 |
| 2.374 | 37.89 | 9 |
| 1.763 | 51.85 | 9 |
| 1.747 | 52.39 | 9 |


Entry 8:
This entry pairs a crystal structure of Tb2CeCo3 with its calculated XRD peak list. Radiation: Cu Kα. Structure: a crystal structure in Alexandria, relaxed with GGA-PBE.
No peak broadening, texture or thermal motion is included.

Structure:
```
Tb2CeCo3
1.0
7.219 0.000 0.000
0.000 5.067 0.000
-3.363 0.000 6.594
Tb Ce Co
4 2 6
direct
0.150 0.000 0.474 Tb
0.164 0.499 0.156 Tb
0.836 0.999 0.844 Tb
0.850 0.500 0.526 Tb
0.459 0.512 0.803 Ce
0.541 0.012 0.197 Ce
0.185 0.777 0.840 Co
0.195 0.246 0.836 Co
0.497 0.697 0.527 Co
0.503 0.197 0.473 Co
0.805 0.746 0.164 Co
0.815 0.277 0.160 Co
```

Top 10 peaks for 10° ≤ 2θ ≤ 90°, in order of falling intensity:
| d [Å] | two_theta | I/Imax |
| --- | --- | --- |
| 3.049 | 29.29 | 100 |
| 2.984 | 29.94 | 89 |
| 2.939 | 30.42 | 84 |
| 2.075 | 43.61 | 79 |
| 2.198 | 41.07 | 45 |
| 2.144 | 42.15 | 41 |
| 2.089 | 43.31 | 33 |
| 2.111 | 42.84 | 29 |
| 1.735 | 52.76 | 20 |
| 1.699 | 53.96 | 18 |


Entry 9:
This entry pairs a crystal structure of TbCeCo2 with its calculated XRD peak list. Radiation: Cu Kα. Structure: a crystal structure in Alexandria, relaxed with GGA-PBE.
No peak broadening, texture or thermal motion is included.

Structure:
```
TbCeCo2
1.0
5.997 0.000 0.000
0.000 6.050 0.000
-3.449 0.000 8.700
Tb Ce Co
4 4 8
direct
0.193 0.141 0.149 Tb
0.193 0.859 0.649 Tb
0.807 0.141 0.351 Tb
0.807 0.859 0.851 Tb
0.305 0.365 0.844 Ce
0.305 0.635 0.344 Ce
0.695 0.365 0.656 Ce
0.695 0.635 0.156 Ce
0.151 0.368 0.590 Co
0.151 0.632 0.090 Co
0.388 0.165 0.471 Co
0.388 0.835 0.971 Co
0.612 0.165 0.029 Co
0.612 0.835 0.529 Co
0.849 0.368 0.910 Co
0.849 0.632 0.410 Co
```

Top 10 peaks for 10° ≤ 2θ ≤ 90°, in order of falling intensity:
| d [Å] | two_theta | I/Imax |
| --- | --- | --- |
| 2.857 | 31.31 | 100 |
| 2.128 | 42.48 | 88 |
| 2.878 | 31.08 | 71 |
| 2.744 | 32.63 | 46 |
| 2.647 | 33.87 | 35 |
| 2.113 | 42.80 | 35 |
| 2.787 | 32.11 | 33 |
| 2.182 | 41.39 | 25 |
| 3.373 | 26.43 | 18 |
| 1.664 | 55.22 | 17 |


Entry 10:
This entry pairs a crystal structure of Ce4CoTc with its calculated XRD peak list. Radiation: Cu Kα. Structure: a crystal structure in Alexandria, relaxed with GGA-PBE.
No peak broadening, texture or thermal motion is included.

Structure:
```
Ce4CoTc
1.0
2.318 -9.498 0.000
2.318 9.498 0.000
0.000 0.000 6.361
Ce Co Tc
8 2 2
direct
0.068 0.932 0.500 Ce
0.207 0.793 0.760 Ce
0.208 0.792 0.235 Ce
0.414 0.586 0.498 Ce
0.586 0.414 0.998 Ce
0.792 0.208 0.735 Ce
0.793 0.207 0.260 Ce
0.932 0.068 0.000 Ce
0.072 0.928 0.002 Co
0.928 0.072 0.502 Co
0.351 0.649 0.000 Tc
0.649 0.351 0.500 Tc
```

Top 10 peaks for 10° ≤ 2θ ≤ 90°, in order of falling intensity:
| d [Å] | two_theta | I/Imax |
| --- | --- | --- |
| 3.016 | 29.62 | 100 |
| 2.423 | 37.10 | 84 |
| 2.318 | 38.85 | 77 |
| 1.838 | 49.59 | 65 |
| 2.342 | 38.44 | 62 |
| 3.225 | 27.66 | 55 |
| 2.939 | 30.42 | 47 |
| 2.643 | 33.92 | 45 |
| 2.668 | 33.59 | 45 |
| 2.158 | 41.85 | 31 |


Entry 11:
This entry pairs a crystal structure of Ce4Co2Te with its calculated XRD peak list. Radiation: Cu Kα. Structure: a crystal structure in Alexandria, relaxed with GGA-PBE.
No peak broadening, texture or thermal motion is included.

Structure:
```
Ce4Co2Te
1.0
-4.575 4.575 3.984
4.575 -4.575 3.984
4.575 4.575 -3.984
Ce Co Te
8 4 2
direct
0.021 0.758 0.096 Ce
0.076 0.979 0.737 Ce
0.089 0.492 0.763 Ce
0.242 0.339 0.263 Ce
0.508 0.271 0.596 Ce
0.661 0.924 0.904 Ce
0.674 0.911 0.404 Ce
0.729 0.326 0.237 Ce
0.375 0.001 0.126 Co
0.751 0.625 0.626 Co
0.875 0.249 0.874 Co
0.999 0.125 0.374 Co
0.250 0.750 0.500 Te
0.500 0.500 0.000 Te
```

Top 10 peaks for 10° ≤ 2θ ≤ 90°, in order of falling intensity:
| d [Å] | two_theta | I/Imax |
| --- | --- | --- |
| 2.848 | 31.41 | 100 |
| 2.893 | 30.90 | 94 |
| 2.418 | 37.18 | 81 |
| 2.551 | 35.18 | 65 |
| 2.341 | 38.45 | 65 |
| 3.004 | 29.74 | 37 |
| 1.784 | 51.22 | 28 |
| 1.641 | 56.05 | 26 |
| 1.835 | 49.69 | 26 |
| 3.640 | 24.45 | 23 |


Entry 12:
This entry pairs a crystal structure of CeThCo with its calculated XRD peak list. Radiation: Cu Kα. Structure: a crystal structure in Alexandria, relaxed with GGA-PBE.
No peak broadening, texture or thermal motion is included.

Structure:
```
CeThCo
1.0
4.560 0.000 0.000
0.000 4.380 0.000
-0.101 0.000 6.998
Ce Th Co
2 2 2
direct
0.207 0.250 0.004 Ce
0.793 0.750 0.996 Ce
0.254 0.750 0.615 Th
0.746 0.250 0.385 Th
0.368 0.750 0.255 Co
0.632 0.250 0.745 Co
```

Top 10 peaks for 10° ≤ 2θ ≤ 90°, in order of falling intensity:
| d [Å] | two_theta | I/Imax |
| --- | --- | --- |
| 2.868 | 31.18 | 100 |
| 2.890 | 30.95 | 60 |
| 2.795 | 32.02 | 37 |
| 2.190 | 41.22 | 36 |
| 2.734 | 32.76 | 33 |
| 2.333 | 38.59 | 29 |
| 2.280 | 39.53 | 27 |
| 1.537 | 60.19 | 24 |
| 2.059 | 43.98 | 22 |
| 3.159 | 28.25 | 20 |